[1]
Diffraction record for Ti4Ir3Rh. The powder diffractogram is theoretical, not measured: it uses a cell relaxed with GGA-PBE and a wavelength of 1.5418 Å.
Neutral-atom scattering factors, no anomalous dispersion.

Crystal structure
Lattice parameters (Å, degrees): 7.5389 7.5389 4.1672 105.96 105.96 32.09
Sites, in units of the cell vectors:
Ti (0.1248, 0.1248, 0.1249)
Ti (0.3752, 0.3752, 0.3752)
Ti (0.6248, 0.6248, 0.6248)
Ti (0.8752, 0.8752, 0.8751)
Ir (0.0000, 0.0000, 0.5000)
Ir (0.2513, 0.2513, 0.7513)
Ir (0.7487, 0.7487, 0.2487)
Rh (0.5000, 0.5000, 0.0000)

The 10 most intense peaks (10° ≤ 2θ ≤ 90°), sorted by position:
d/Å	intensity
3.471	24.9
2.947	33.0
2.246	100.0
2.084	39.9
1.786	16.5
1.736	11.2
1.495	9.4
1.473	12.9
1.334	13.8
1.232	28.4


[2]
Diffraction record for SrDy2Cu2Ge2. The powder diffractogram is theoretical, not measured: it uses a cell relaxed with GGA-PBE and a wavelength of 1.5418 Å.
Neutral-atom scattering factors, no anomalous dispersion.

Crystal structure
Lattice parameters (Å, degrees): 9.8302 9.8302 9.8302 25.88 25.88 25.88
Sites, in units of the cell vectors:
Sr (0.0000, 0.0000, 0.0000)
Dy (0.1293, 0.1293, 0.1293)
Dy (0.8707, 0.8707, 0.8707)
Cu (0.4130, 0.4130, 0.4130)
Cu (0.5870, 0.5870, 0.5870)
Ge (0.2529, 0.2529, 0.2529)
Ge (0.7471, 0.7471, 0.7471)

The 10 most intense peaks (10° ≤ 2θ ≤ 90°), sorted by position:
d/Å	intensity
3.779	30.6
2.782	91.9
2.602	84.5
2.201	100.0
2.143	24.2
1.726	22.0
1.681	22.7
1.438	29.0
1.358	19.5
1.336	21.3


[3]
Diffraction record for Ti2GaGe. The powder diffractogram is theoretical, not measured: it uses a cell relaxed with GGA-PBE and a wavelength of 1.5418 Å.
Neutral-atom scattering factors, no anomalous dispersion.

Crystal structure
Lattice parameters (Å, degrees): 5.1508 3.7137 7.3086 90.00 110.35 90.00
Sites, in units of the cell vectors:
Ti (0.1983, 0.2500, 0.4287)
Ti (0.2861, 0.7500, 0.0665)
Ti (0.7139, 0.2500, 0.9335)
Ti (0.8017, 0.7500, 0.5713)
Ga (0.3941, 0.7500, 0.7032)
Ga (0.6059, 0.2500, 0.2968)
Ge (0.1202, 0.2500, 0.7956)
Ge (0.8798, 0.7500, 0.2044)

The 10 most intense peaks (10° ≤ 2θ ≤ 90°), sorted by position:
d/Å	intensity
3.426	18.8
2.518	100.0
2.407	33.3
2.024	84.8
2.020	21.4
1.857	24.5
1.833	23.4
1.470	15.1
1.305	14.3
1.101	13.9


[4]
Diffraction record for Cr3Fe2C. The powder diffractogram is theoretical, not measured: it uses a cell relaxed with GGA-PBE and a wavelength of 1.5418 Å.
Neutral-atom scattering factors, no anomalous dispersion.

Crystal structure
Lattice parameters (Å, degrees): 6.2995 6.2995 6.2995 90.00 90.00 90.00
Sites, in units of the cell vectors:
Cr (0.0492, 0.1250, 0.7992)
Cr (0.1250, 0.7992, 0.0492)
Cr (0.2008, 0.5492, 0.3750)
Cr (0.2992, 0.4508, 0.8750)
Cr (0.3750, 0.2008, 0.5492)
Cr (0.4508, 0.8750, 0.2992)
Cr (0.5492, 0.3750, 0.2008)
Cr (0.6250, 0.7008, 0.9508)
Cr (0.7008, 0.9508, 0.6250)
Cr (0.7992, 0.0492, 0.1250)
Cr (0.8750, 0.2992, 0.4508)
Cr (0.9508, 0.6250, 0.7008)
Fe (0.0661, 0.9339, 0.4339)
Fe (0.1839, 0.1839, 0.1839)
Fe (0.3161, 0.8161, 0.6839)
Fe (0.4339, 0.0661, 0.9339)
Fe (0.5661, 0.5661, 0.5661)
Fe (0.6839, 0.3161, 0.8161)
Fe (0.8161, 0.6839, 0.3161)
Fe (0.9339, 0.4339, 0.0661)
C (0.1250, 0.3750, 0.6250)
C (0.3750, 0.6250, 0.1250)
C (0.6250, 0.1250, 0.3750)
C (0.8750, 0.8750, 0.8750)

The 10 most intense peaks (10° ≤ 2θ ≤ 90°), sorted by position:
d/Å	intensity
2.100	100.0
1.992	53.8
1.899	27.7
1.684	11.5
1.485	4.8
1.409	4.1
1.235	23.9
1.212	4.4
1.170	19.5
1.150	4.2